(1)
# Sb5Br3
Computed X-ray powder pattern, Cu Kα. Input: a crystal structure in Alexandria, relaxed with PBE.

Peak list (6 most intense, 2θ from 10° to 90°, in order of rising 2θ)
2θ = 10.2°, intensity 100, hkl 0 0 1
2θ = 20.9°, intensity 42, hkl 2 0 -1
2θ = 22.7°, intensity 56, hkl 0 2 2
2θ = 28.3°, intensity 58, hkl 0 4 2
2θ = 29.9°, intensity 52, hkl 1 5 1
2θ = 31.7°, intensity 63, hkl 3 1 -1

Atomic structure:
```
data_Sb5Br3
_chemical_formula_sum 'Sb20 Br12'
_cell_length_a 8.5814
_cell_length_b 18.3901
_cell_length_c 9.2403
_cell_angle_alpha 90.00
_cell_angle_beta 109.97
_cell_angle_gamma 90.00
_space_group_name_H-M_alt 'C 1 m 1'
_space_group_IT_number 8
loop_
_space_group_symop_operation_xyz
'x,y,z'
'x,-y,z'
'x+1/2,y+1/2,z'
'x+1/2,-y+1/2,z'
loop_
_atom_site_label
_atom_site_type_symbol
_atom_site_fract_x
_atom_site_fract_y
_atom_site_fract_z
Sb1 Sb 0.0000 0.0000 0.0000
Sb2 Sb 0.0044 0.3675 0.6574
Sb3 Sb 0.1610 0.4220 0.9673
Sb4 Sb 0.1677 0.0000 0.7743
Sb5 Sb 0.3401 0.0777 0.0525
Sb6 Sb 0.3425 0.3743 0.6216
Br1 Br 0.0106 0.2364 0.8356
Br2 Br 0.2614 0.2882 0.3862
Br3 Br 0.2738 0.5000 0.4184
Br4 Br 0.4034 0.0000 0.5020
```

=====

(2)
# NaCaH4Pd
Computed X-ray powder pattern, Cu Kα. Input: a crystal structure in Alexandria, relaxed with PBE.

Peak list (6 most intense, 2θ from 10° to 90°, in order of rising 2θ)
2θ = 14.5°, intensity 67, hkl 0 0 2
2θ = 25.4°, intensity 35, hkl 1 0 1
2θ = 32.9°, intensity 100, hkl 1 0 3
2θ = 34.6°, intensity 49, hkl 1 1 0
2θ = 44.7°, intensity 35, hkl 0 0 6
2θ = 61.0°, intensity 32, hkl 2 1 3

Atomic structure:
```
data_NaCaH4Pd
_chemical_formula_sum 'Na2 Ca2 H8 Pd2'
_cell_length_a 3.6641
_cell_length_b 3.6641
_cell_length_c 12.1779
_cell_angle_alpha 90.00
_cell_angle_beta 90.00
_cell_angle_gamma 90.00
_space_group_name_H-M_alt 'I 4 m m'
_space_group_IT_number 107
_space_group_name_Hall 'I 4 -2'
loop_
_atom_site_label
_atom_site_type_symbol
_atom_site_fract_x
_atom_site_fract_y
_atom_site_fract_z
Na1 Na 0.0000 0.0000 0.0000
Ca1 Ca 0.0000 0.0000 0.7192
H1 H 0.0000 0.0000 0.2021
H2 H 0.0000 0.0000 0.5187
H3 H 0.0000 0.5000 0.3559
Pd1 Pd 0.0000 0.0000 0.3601
```

=====

(3)
# Ce5OsBr5
Computed X-ray powder pattern, Cu Kα. Input: a crystal structure in Alexandria, relaxed with PBE.

Peak list (6 most intense, 2θ from 10° to 90°, in order of rising 2θ)
2θ = 10.8°, intensity 27, hkl 0 0 1
2θ = 29.9°, intensity 100, hkl 0 2 0
2θ = 30.2°, intensity 38, hkl 2 0 2
2θ = 42.8°, intensity 37, hkl 4 2 -2
2θ = 43.0°, intensity 29, hkl 2 2 2
2θ = 54.4°, intensity 16, hkl 6 2 0

Atomic structure:
```
data_Ce5OsBr5
_chemical_formula_sum 'Ce10 Os2 Br10'
_cell_length_a 13.0595
_cell_length_b 5.9740
_cell_length_c 8.6854
_cell_angle_alpha 90.00
_cell_angle_beta 110.14
_cell_angle_gamma 90.00
_space_group_name_H-M_alt 'C 1 2/m 1'
_space_group_IT_number 12
loop_
_space_group_symop_operation_xyz
'x,y,z'
'-x,-y,-z'
'-x,y,-z'
'x,-y,z'
'x+1/2,y+1/2,z'
'-x+1/2,-y+1/2,-z'
'-x+1/2,y+1/2,-z'
'x+1/2,-y+1/2,z'
loop_
_atom_site_label
_atom_site_type_symbol
_atom_site_fract_x
_atom_site_fract_y
_atom_site_fract_z
Ce1 Ce 0.0000 0.0000 0.0000
Ce2 Ce 0.1479 0.5000 0.2909
Ce3 Ce 0.1715 0.5000 0.8628
Os1 Os 0.0000 0.5000 0.0000
Br1 Br 0.0000 0.5000 0.5000
Br2 Br 0.1475 0.0000 0.7932
Br3 Br 0.1701 0.0000 0.3534
```

=====

(4)
# Li3Al
Computed X-ray powder pattern, Cu Kα. Input: a crystal structure in Alexandria, relaxed with PBE.

Peak list (6 most intense, 2θ from 10° to 90°, in order of rising 2θ)
2θ = 16.9°, intensity 65, hkl 1 1 0
2θ = 19.1°, intensity 51, hkl 2 0 0
2θ = 26.1°, intensity 46, hkl 1 1 1
2θ = 38.8°, intensity 26, hkl 4 0 0
2θ = 39.7°, intensity 100, hkl 2 2 1
2θ = 40.1°, intensity 25, hkl 0 0 2

Atomic structure:
```
data_Li3Al
_chemical_formula_sum 'Li12 Al4'
_cell_length_a 9.2835
_cell_length_b 6.3770
_cell_length_c 4.4964
_cell_angle_alpha 90.00
_cell_angle_beta 90.00
_cell_angle_gamma 90.00
_space_group_name_H-M_alt 'C m c m'
_space_group_IT_number 63
_space_group_name_Hall '-C 2c 2'
loop_
_atom_site_label
_atom_site_type_symbol
_atom_site_fract_x
_atom_site_fract_y
_atom_site_fract_z
Li1 Li 0.0000 0.1105 0.2500
Li2 Li 0.2310 0.3691 0.2500
Al1 Al 0.0000 0.3686 0.7500
```

=====

(5)
# HoTh5Pb4
Computed X-ray powder pattern, Cu Kα. Input: a crystal structure in Alexandria, relaxed with PBE.

Peak list (6 most intense, 2θ from 10° to 90°, in order of rising 2θ)
2θ = 31.8°, intensity 56, hkl 0 2 0
2θ = 32.0°, intensity 48, hkl 2 0 2
2θ = 32.3°, intensity 100, hkl 3 1 -2
2θ = 32.5°, intensity 95, hkl 5 1 0
2θ = 45.8°, intensity 37, hkl 2 2 2
2θ = 57.1°, intensity 36, hkl 5 3 0

Atomic structure:
```
data_HoTh5Pb4
_chemical_formula_sum 'Ho2 Th10 Pb8'
_cell_length_a 16.3919
_cell_length_b 5.6214
_cell_length_c 6.8206
_cell_angle_alpha 90.00
_cell_angle_beta 105.02
_cell_angle_gamma 90.00
_space_group_name_H-M_alt 'C 1 2/m 1'
_space_group_IT_number 12
loop_
_space_group_symop_operation_xyz
'x,y,z'
'-x,-y,-z'
'-x,y,-z'
'x,-y,z'
'x+1/2,y+1/2,z'
'-x+1/2,-y+1/2,-z'
'-x+1/2,y+1/2,-z'
'x+1/2,-y+1/2,z'
loop_
_atom_site_label
_atom_site_type_symbol
_atom_site_fract_x
_atom_site_fract_y
_atom_site_fract_z
Ho1 Ho 0.0000 0.0000 0.0000
Th1 Th 0.0000 0.0000 0.5000
Th2 Th 0.1170 0.5000 0.3859
Th3 Th 0.2025 0.0000 0.8159
Pb1 Pb 0.0858 0.5000 0.8504
Pb2 Pb 0.1901 0.0000 0.2962
```

=====

(6)
# Tm2TiGe3Pt4
Computed X-ray powder pattern, Cu Kα. Input: a crystal structure in Alexandria, relaxed with PBE.

Peak list (6 most intense, 2θ from 10° to 90°, in order of rising 2θ)
2θ = 32.6°, intensity 43, hkl 1 0 3
2θ = 35.1°, intensity 100, hkl 1 1 2
2θ = 44.5°, intensity 55, hkl 2 0 0
2θ = 45.3°, intensity 27, hkl 1 1 4
2θ = 46.5°, intensity 33, hkl 1 0 5
2θ = 66.3°, intensity 23, hkl 2 1 5

Atomic structure:
```
data_Tm2TiGe3Pt4
_chemical_formula_sum 'Tm2 Ti1 Ge3 Pt4'
_cell_length_a 4.0700
_cell_length_b 4.0700
_cell_length_c 11.1439
_cell_angle_alpha 90.00
_cell_angle_beta 90.00
_cell_angle_gamma 90.00
_space_group_name_H-M_alt 'P -4 m 2'
_space_group_IT_number 115
loop_
_space_group_symop_operation_xyz
'x,y,z'
'y,-x,-z'
'-x,-y,z'
'-y,x,-z'
'-x,y,z'
'-y,-x,-z'
'x,-y,z'
'y,x,-z'
loop_
_atom_site_label
_atom_site_type_symbol
_atom_site_fract_x
_atom_site_fract_y
_atom_site_fract_z
Tm1 Tm 0.0000 0.5000 0.2331
Ti1 Ti 0.0000 0.0000 0.5000
Ge1 Ge 0.0000 0.5000 0.8590
Ge2 Ge 0.5000 0.5000 0.5000
Pt1 Pt 0.0000 0.0000 0.0000
Pt2 Pt 0.0000 0.5000 0.6419
Pt3 Pt 0.5000 0.5000 0.0000
```

=====

(7)
# MnAg2Au9
Computed X-ray powder pattern, Cu Kα. Input: a crystal structure in Alexandria, relaxed with PBE.

Peak list (6 most intense, 2θ from 10° to 90°, in order of rising 2θ)
2θ = 37.6°, intensity 100, hkl 1 1 3
2θ = 43.5°, intensity 16, hkl 0 0 6
2θ = 43.8°, intensity 33, hkl 2 0 0
2θ = 63.4°, intensity 22, hkl 2 0 6
2θ = 76.0°, intensity 13, hkl 1 1 9
2θ = 76.3°, intensity 26, hkl 3 1 3

Atomic structure:
```
data_MnAg2Au9
_chemical_formula_sum 'Mn1 Ag2 Au9'
_cell_length_a 4.1382
_cell_length_b 4.1382
_cell_length_c 12.4726
_cell_angle_alpha 90.00
_cell_angle_beta 90.00
_cell_angle_gamma 90.00
_space_group_name_H-M_alt 'P 4/m m m'
_space_group_IT_number 123
_space_group_name_Hall '-P 4 2'
loop_
_atom_site_label
_atom_site_type_symbol
_atom_site_fract_x
_atom_site_fract_y
_atom_site_fract_z
Mn1 Mn 0.0000 0.0000 0.0000
Ag1 Ag 0.0000 0.0000 0.3322
Au1 Au 0.0000 0.5000 0.1618
Au2 Au 0.0000 0.5000 0.5000
Au3 Au 0.5000 0.5000 0.0000
Au4 Au 0.5000 0.5000 0.3316
```

=====

(8)
# Te2Mo2WSe4
Computed X-ray powder pattern, Cu Kα. Input: a crystal structure in Alexandria, relaxed with PBE.

Peak list (6 most intense, 2θ from 10° to 90°, in order of rising 2θ)
2θ = 11.9°, intensity 100, hkl 0 0 3
2θ = 30.4°, intensity 42, hkl 1 0 0
2θ = 34.5°, intensity 27, hkl 1 0 4
2θ = 36.6°, intensity 69, hkl 0 1 5
2θ = 44.8°, intensity 35, hkl 0 1 8
2θ = 54.0°, intensity 31, hkl 1 1 0

Atomic structure:
```
data_Te2Mo2WSe4
_chemical_formula_sum 'Te2 Mo2 W1 Se4'
_cell_length_a 3.3948
_cell_length_b 3.3948
_cell_length_c 22.3234
_cell_angle_alpha 90.00
_cell_angle_beta 90.00
_cell_angle_gamma 120.00
_space_group_name_H-M_alt 'P 3 m 1'
_space_group_IT_number 156
loop_
_space_group_symop_operation_xyz
'x,y,z'
'-y,x-y,z'
'-x+y,-x,z'
'-y,-x,z'
'-x+y,y,z'
'x,x-y,z'
loop_
_atom_site_label
_atom_site_type_symbol
_atom_site_fract_x
_atom_site_fract_y
_atom_site_fract_z
Te1 Te 0.0000 0.0000 0.0000
Te2 Te 0.0000 0.0000 0.1680
Mo1 Mo 0.0000 0.0000 0.7581
Mo2 Mo 0.3333 0.6667 0.0840
W1 W 0.0000 0.0000 0.4125
Se1 Se 0.3333 0.6667 0.3383
Se2 Se 0.3333 0.6667 0.4867
Se3 Se 0.3333 0.6667 0.6843
Se4 Se 0.3333 0.6667 0.8320
```